Entry 1:
# Na2ZnAu2
Computed powder diffractogram, λ = 1.5418 Å (Cu Kα). Input: a cell relaxed with PBE.
Intensities are scaled so that the largest is 100.

Largest 8 diffraction maxima, sorted by position, 15° ≤ 2θ ≤ 90°:
two_theta	intensity	index
19.3	100	0 0 2
22.3	73	1 0 1
35.7	32	1 0 3
37.9	27	0 2 2
39.6	85	1 2 1
45.6	23	2 0 2
48.9	36	1 2 3
64.4	23	1 2 5

Structure:
a = 4.4139 Å, b = 5.5454 Å, c = 9.1778 Å
α = 90.00°, β = 90.00°, γ = 90.00°
Space group Immm (No. 71)
One atom of each set of equivalent atoms:
Na 0.0000 0.0000 0.1963
Zn 0.0000 0.5000 0.0000
Au 0.0000 0.2565 0.5000

=====

Entry 2:
# Rb2CuBr6F
Computed powder diffractogram, λ = 1.5418 Å (Cu Kα). Input: a cell relaxed with PBE.
Intensities are scaled so that the largest is 100.

Largest 8 diffraction maxima, sorted by position, 15° ≤ 2θ ≤ 90°:
two_theta	intensity	index
29.6	100	2 0 2
33.2	30	0 0 4
34.9	56	2 2 0
48.9	39	2 2 4
50.1	19	4 0 0
57.1	13	2 0 6
59.3	27	4 2 2
61.5	19	4 0 4

Structure:
a = 7.2775 Å, b = 7.2775 Å, c = 10.7970 Å
α = 90.00°, β = 90.00°, γ = 90.00°
Space group I4/mmm (No. 139)
One atom of each set of equivalent atoms:
Rb 0.0000 0.5000 0.2500
Cu 0.0000 0.0000 0.0000
Br 0.0000 0.0000 0.2251
Br 0.2429 0.2429 0.0000
F 0.0000 0.0000 0.5000

=====

Entry 3:
# Li2Ho3Rh7
Computed powder diffractogram, λ = 1.5418 Å (Cu Kα). Input: a cell relaxed with PBE.
Intensities are scaled so that the largest is 100.

Largest 8 diffraction maxima, sorted by position, 15° ≤ 2θ ≤ 90°:
two_theta	intensity	index
31.8	66	1 0 7
33.7	28	1 1 0
34.8	64	0 1 8
39.3	78	0 2 1
39.8	31	2 0 2
40.3	100	1 1 6
43.3	30	2 0 5
70.9	31	2 2 0

Structure:
a = 5.3184 Å, b = 5.3184 Å, c = 24.9109 Å
α = 90.00°, β = 90.00°, γ = 120.00°
Space group R-3m (No. 166, hexagonal axes)
One atom of each set of equivalent atoms:
Li 0.0000 0.0000 0.1643
Ho 0.0000 0.0000 0.3593
Ho 0.0000 0.0000 0.5000
Rh 0.0000 0.0000 0.0000
Rh 0.0052 0.5026 0.4177

=====

Entry 4:
# Tb2Cu3Rh
Computed powder diffractogram, λ = 1.5418 Å (Cu Kα). Input: a cell relaxed with PBE.
Intensities are scaled so that the largest is 100.

Largest 8 diffraction maxima, sorted by position, 15° ≤ 2θ ≤ 90°:
two_theta	intensity	index
24.0	15	0 1 1
34.9	100	1 1 1
42.1	34	0 1 3
42.2	18	0 2 0
51.4	10	2 0 0
55.9	17	1 2 2
68.6	23	2 2 0
72.3	14	1 2 4

Structure:
a = 3.5559 Å, b = 4.2817 Å, c = 7.4386 Å
α = 90.00°, β = 90.00°, γ = 90.00°
Space group Pmm2 (No. 25)
One atom of each set of equivalent atoms:
Tb 0.0000 0.0000 0.0000
Tb 0.0000 0.5000 0.4728
Cu 0.5000 0.0000 0.6599
Cu 0.5000 0.5000 0.1411
Cu 0.5000 0.5000 0.8163
Rh 0.5000 0.0000 0.3200

=====

Entry 5:
# La6AlCu
Computed powder diffractogram, λ = 1.5418 Å (Cu Kα). Input: a cell relaxed with PBE.
Intensities are scaled so that the largest is 100.

Largest 8 diffraction maxima, sorted by position, 15° ≤ 2θ ≤ 90°:
two_theta	intensity	index
25.6	28	1 1 2
30.5	14	0 0 6
31.2	100	1 1 4
33.4	52	2 0 0
45.9	18	2 0 6
48.0	19	2 2 0
58.3	33	3 1 4
78.4	14	3 1 10

Structure:
a = 5.3621 Å, b = 5.3621 Å, c = 17.5655 Å
α = 90.00°, β = 90.00°, γ = 90.00°
Space group I4/mmm (No. 139)
One atom of each set of equivalent atoms:
La 0.0000 0.0000 0.2448
La 0.0000 0.5000 0.1013
Al 0.0000 0.0000 0.0000
Cu 0.0000 0.0000 0.5000

=====

Entry 6:
# MgCdSe2
Computed powder diffractogram, λ = 1.5418 Å (Cu Kα). Input: a cell relaxed with PBE.
Intensities are scaled so that the largest is 100.

Largest 8 diffraction maxima, sorted by position, 15° ≤ 2θ ≤ 90°:
two_theta	intensity	index
18.6	44	1 1 2
23.6	47	2 2 -1
28.0	100	2 2 2
29.8	72	2 2 -3
31.3	35	1 3 3
34.4	49	0 4 3
45.0	37	3 5 0
46.4	38	2 2 -6

Structure:
a = 9.5643 Å, b = 13.0492 Å, c = 13.0399 Å
α = 90.00°, β = 95.93°, γ = 90.00°
Space group C2/c (No. 15)
One atom of each set of equivalent atoms:
Mg 0.0119 0.0868 0.1034
Mg 0.2002 0.3458 0.3769
Cd 0.1370 0.4169 0.6513
Cd 0.1547 0.1801 0.8796
Se 0.0000 0.0536 0.7500
Se 0.0000 0.4485 0.2500
Se 0.0623 0.2532 0.5239
Se 0.1899 0.2036 0.2268
Se 0.2169 0.0071 0.9978

=====

Entry 7:
# Tm2AgHg
Computed powder diffractogram, λ = 1.5418 Å (Cu Kα). Input: a cell relaxed with PBE.
Intensities are scaled so that the largest is 100.

Largest 8 diffraction maxima, sorted by position, 15° ≤ 2θ ≤ 90°:
two_theta	intensity	index
31.4	2	1 0 3
34.9	100	2 0 0
50.3	18	0 2 0
62.7	37	2 2 0
73.8	9	2 2 4
73.9	2	4 0 0
84.3	14	1 3 2
84.4	3	4 0 4

Structure:
a = 5.1317 Å, b = 3.6300 Å, c = 10.2810 Å
α = 90.00°, β = 90.00°, γ = 90.00°
Space group Pmma (No. 51)
One atom of each set of equivalent atoms:
Tm 0.2500 0.0000 0.1204
Tm 0.2500 0.0000 0.6294
Ag 0.2500 0.5000 0.8747
Hg 0.2500 0.5000 0.3720

=====

Entry 8:
# Ba5TeSe8
Computed powder diffractogram, λ = 1.5418 Å (Cu Kα). Input: a cell relaxed with PBE.
Intensities are scaled so that the largest is 100.

Largest 8 diffraction maxima, sorted by position, 15° ≤ 2θ ≤ 90°:
two_theta	intensity	index
22.7	41	2 1 1
28.1	97	1 0 3
29.6	74	3 0 1
29.8	100	1 3 0
34.0	74	1 2 3
34.8	56	3 1 2
35.2	42	3 2 1
43.6	38	3 2 3

Structure:
a = 9.4863 Å, b = 9.4863 Å, c = 10.1114 Å
α = 90.00°, β = 90.00°, γ = 90.00°
Space group I-4 (No. 82)
One atom of each set of equivalent atoms:
Ba 0.0000 0.0000 0.0000
Ba 0.1255 0.2548 0.3792
Te 0.0000 0.5000 0.7500
Se 0.0733 0.2058 0.7080
Se 0.0948 0.3256 0.0567

=====

Entry 9:
# Rb5Ga2Bi4
Computed powder diffractogram, λ = 1.5418 Å (Cu Kα). Input: a cell relaxed with PBE.
Intensities are scaled so that the largest is 100.

Largest 8 diffraction maxima, sorted by position, 15° ≤ 2θ ≤ 90°:
two_theta	intensity	index
16.0	48	0 0 2
21.8	92	4 0 -2
24.2	45	3 1 -1
27.6	96	3 1 -2
29.2	100	3 1 2
32.3	54	0 0 4
35.5	46	7 1 0
52.1	45	0 2 4

Structure:
a = 21.4936 Å, b = 4.5304 Å, c = 11.1454 Å
α = 90.00°, β = 96.32°, γ = 90.00°
Space group C2/m (No. 12)
One atom of each set of equivalent atoms:
Rb 0.0000 0.0000 0.0000
Rb 0.1411 0.5000 0.4740
Rb 0.1680 0.5000 0.9808
Ga 0.0949 0.0000 0.7336
Bi 0.0197 0.5000 0.7354
Bi 0.2202 0.0000 0.7329

=====

Entry 10:
# LiAcSn2Pt2
Computed powder diffractogram, λ = 1.5418 Å (Cu Kα). Input: a cell relaxed with PBE.
Intensities are scaled so that the largest is 100.

Largest 8 diffraction maxima, sorted by position, 15° ≤ 2θ ≤ 90°:
two_theta	intensity	index
25.3	99	1 0 1
33.1	91	1 0 2
36.8	27	0 0 3
38.8	100	1 1 0
46.9	19	0 2 1
51.9	26	0 2 2
54.6	53	1 1 3
66.7	25	2 1 2

Structure:
a = 4.6361 Å, b = 4.6361 Å, c = 7.3236 Å
α = 90.00°, β = 90.00°, γ = 120.00°
Space group P-3m1 (No. 164)
One atom of each set of equivalent atoms:
Li 0.0000 0.0000 0.0000
Ac 0.0000 0.0000 0.5000
Sn 0.3333 0.6667 0.8259
Pt 0.3333 0.6667 0.2110

=====

Entry 11:
# Ir3Rh
Computed powder diffractogram, λ = 1.5418 Å (Cu Kα). Input: a cell relaxed with PBE.
Intensities are scaled so that the largest is 100.

Largest 8 diffraction maxima, sorted by position, 15° ≤ 2θ ≤ 90°:
two_theta	intensity	index
39.4	43	2 0 1
40.3	36	0 0 4
43.3	100	2 0 2
49.1	23	2 0 3
68.7	23	2 2 0
75.3	20	2 0 6
82.8	28	2 2 4
84.7	15	4 0 2

Structure:
a = 5.4650 Å, b = 5.4650 Å, c = 8.9479 Å
α = 90.00°, β = 90.00°, γ = 120.00°
Space group P6_3/mmc (No. 194)
One atom of each set of equivalent atoms:
Ir 0.0000 0.5000 0.0000
Ir 0.1663 0.3326 0.2500
Rh 0.0000 0.0000 0.0000
Rh 0.3333 0.6667 0.7500

=====

Entry 12:
# Nd4AgSn3
Computed powder diffractogram, λ = 1.5418 Å (Cu Kα). Input: a cell relaxed with PBE.
Intensities are scaled so that the largest is 100.

Largest 8 diffraction maxima, sorted by position, 15° ≤ 2θ ≤ 90°:
two_theta	intensity	index
29.0	100	1 1 1
30.2	22	0 1 3
30.4	31	0 0 4
36.3	72	1 1 3
36.6	19	1 0 4
39.8	26	0 2 0
40.2	25	2 0 0
57.9	17	2 2 0

Structure:
a = 4.4848 Å, b = 4.5302 Å, c = 11.7541 Å
α = 90.00°, β = 90.00°, γ = 90.00°
Space group Pmm2 (No. 25)
One atom of each set of equivalent atoms:
Nd 0.0000 0.0000 0.0000
Nd 0.0000 0.5000 0.4941
Nd 0.5000 0.0000 0.7216
Nd 0.5000 0.5000 0.2234
Ag 0.0000 0.0000 0.2814
Sn 0.0000 0.5000 0.7692
Sn 0.5000 0.0000 0.4423
Sn 0.5000 0.5000 0.9487

=====

Entry 13:
# Ga2CuPd3
Computed powder diffractogram, λ = 1.5418 Å (Cu Kα). Input: a cell relaxed with PBE.
Intensities are scaled so that the largest is 100.

Largest 8 diffraction maxima, sorted by position, 15° ≤ 2θ ≤ 90°:
two_theta	intensity	index
36.3	50	1 4 1
36.7	93	0 2 2
37.3	84	2 2 0
40.6	62	0 6 0
43.8	75	0 4 2
44.3	69	2 4 0
49.4	100	2 0 2
65.8	53	2 6 2

Structure:
a = 5.1734 Å, b = 13.3361 Å, c = 5.2595 Å
α = 90.00°, β = 90.00°, γ = 90.00°
Space group Ibam (No. 72)
One atom of each set of equivalent atoms:
Ga 0.2327 0.1355 0.0000
Cu 0.0000 0.5000 0.2500
Pd 0.0000 0.0000 0.2500
Pd 0.2214 0.3234 0.0000